Structure and simulated powder X-ray diffraction pattern of K6Cr2O9 (the PBE+U geometry in Alexandria; Cu Ka).
Peak positions follow from Bragg's law for the DFT cell and can differ from measured ones.

Largest 6 diffraction maxima, by intensity, 10 to 90 degrees two-theta:
Position (°2θ), I (rel.)
31.53, 1000
28.14, 671
29.71, 352
29.03, 334
36.69, 314
18.18, 234

Crystal structure
```
K6Cr2O9
1.0
4.9005 -4.1609 0.0000
4.9005 4.1609 0.0000
-0.1793 0.0000 7.7567
K Cr O
6 2 9
direct
0.0000 0.0000 0.0000
0.0025 0.4880 0.7582
0.4880 0.0025 0.7582
0.5067 0.9955 0.2554
0.5226 0.5226 0.4939
0.9955 0.5067 0.2554
0.5228 0.5228 0.9609
0.9757 0.9757 0.4832
0.0894 0.0894 0.6549
0.1781 0.8303 0.3649
0.2702 0.2702 0.0413
0.3257 0.6711 0.8479
0.4020 0.4020 0.1361
0.6711 0.3257 0.8479
0.6915 0.6915 0.0366
0.8005 0.8005 0.5293
0.8303 0.1781 0.3649
```